For Ce2Th2Sn, a cell relaxed with GGA-PBE gives the computed PXRD pattern in this record (CuKα).
No peak broadening, texture or thermal motion is included.

```
data_Ce2Th2Sn
_cell_length_a 5.445
_cell_length_b 5.445
_cell_length_c 12.177
_cell_angle_alpha 90.00
_cell_angle_beta 90.00
_cell_angle_gamma 120.00
_space_group_name_H-M_alt 'P 1'
_space_group_IT_number 1
loop_
_space_group_symop_operation_xyz
'x,y,z'
loop_
_atom_site_label
_atom_site_fract_x
_atom_site_fract_y
_atom_site_fract_z
Ce1 0.000 0.000 0.000
Ce2 0.000 0.000 0.500
Ce3 0.333 0.667 0.250
Ce4 0.667 0.333 0.750
Th1 0.333 0.667 0.569
Th2 0.333 0.667 0.931
Th3 0.667 0.333 0.069
Th4 0.667 0.333 0.431
Sn1 0.000 0.000 0.250
Sn2 0.000 0.000 0.750
```

Largest 6 diffraction maxima, in order of falling intensity, 2θ from 10° to 90°:
hkl 1 1 0, 32.9 deg, I 100; hkl 1 0 3, 29.0 deg, I 93; hkl 2 1 3, 56.4 deg, I 32; hkl 2 0 3, 44.4 deg, I 30; hkl 3 0 0, 58.7 deg, I 20; hkl 0 0 6, 44.7 deg, I 18